Structure and theoretical powder XRD pattern of CsTlMoO4 (a cell relaxed with PBE+U; λ = 1.5418 Å (Cu Kα)).
Intensities are scaled so that the largest is 100.

Crystal structure
a b c (Å): 10.050 10.050 10.050
angles (deg): 90.00 90.00 90.00
Space group F-43m (No. 216)
Unique sites:
1 Cs 0.000 0.000 0.000
2 Tl 0.250 0.250 0.250
3 Mo 0.000 0.000 0.500
4 O 0.103 0.103 0.397

Top 12 peaks for 2θ from 10° to 90°, by angle:
- 2θ = 15.27°, I 52, (1 1 1)
- 2θ = 25.06°, I 100, (2 2 0)
- 2θ = 29.48°, I 23, (3 1 1)
- 2θ = 35.74°, I 15, (4 0 0)
- 2θ = 39.07°, I 18, (3 3 1)
- 2θ = 44.15°, I 42, (4 2 2)
- 2θ = 46.98°, I 10, (5 1 1)
- 2θ = 51.43°, I 16, (4 4 0)
- 2θ = 53.98°, I 11, (5 3 1)
- 2θ = 58.04°, I 18, (6 2 0)
- 2θ = 70.06°, I 23, (6 4 2)
- 2θ = 81.22°, I 12, (6 6 0)